(1)
Theoretical powder XRD pattern of Co3Mo2W4N3 for CuKα, from DFT lattice parameters and positions (PBE).
Peak positions follow from Bragg's law for the DFT cell and can differ from measured ones.

Principal peaks in the range 2θ = 10–80°, in order of rising 2θ:
2theta	Rel. int.
25.74	67
36.45	56
36.98	100
37.16	43
38.99	48
41.29	79
41.47	86
41.80	83
42.43	36
46.79	33
49.10	32
65.53	36

Crystal structure
Cell lengths 4.927, 4.927, 14.195 Å; angles 100.77, 100.77, 60.15 degrees
Atoms (fractional coordinates):
Co (0.082, 0.415, 0.750)
Co (0.087, 0.913, 0.750)
Co (0.415, 0.082, 0.250)
Co (0.585, 0.918, 0.750)
Co (0.913, 0.087, 0.250)
Co (0.918, 0.585, 0.250)
Mo (0.382, 0.555, 0.163)
Mo (0.445, 0.618, 0.337)
Mo (0.555, 0.382, 0.663)
Mo (0.618, 0.445, 0.837)
W (0.024, 0.200, 0.091)
W (0.142, 0.307, 0.409)
W (0.200, 0.024, 0.591)
W (0.307, 0.142, 0.909)
W (0.693, 0.858, 0.091)
W (0.800, 0.976, 0.409)
W (0.858, 0.693, 0.591)
W (0.976, 0.800, 0.909)
N (0.000, 0.500, 0.000)
N (0.174, 0.662, 0.502)
N (0.338, 0.826, 0.998)
N (0.500, 0.000, 0.500)
N (0.662, 0.174, 0.002)
N (0.826, 0.338, 0.498)



(2)
Theoretical powder XRD pattern of Tb2SmSi4Au4 for CuKα, from DFT lattice parameters and positions (PBE).
Peak positions follow from Bragg's law for the DFT cell and can differ from measured ones.

Principal peaks in the range 2θ = 10–80°, in order of rising 2θ:
2theta	Rel. int.
21.22	14
27.78	12
28.40	11
32.90	23
33.31	100
42.60	19
43.36	18
45.06	14
54.86	11
62.42	13
67.40	13
72.07	11

Crystal structure
Cell lengths 12.916, 12.916, 12.916 Å; angles 161.41, 161.09, 26.64 degrees
Atoms (fractional coordinates):
Tb (0.148, 0.148, 0.000)
Tb (0.852, 0.852, 0.000)
Sm (0.500, 0.000, 0.500)
Si (0.047, 0.547, 0.500)
Si (0.310, 0.310, 0.000)
Si (0.690, 0.690, 0.000)
Si (0.953, 0.453, 0.500)
Au (0.248, 0.748, 0.500)
Au (0.405, 0.405, 0.000)
Au (0.595, 0.595, 0.000)
Au (0.752, 0.252, 0.500)